Starting from a GGA-PBE-relaxed structure, the powder XRD pattern of CaB2H8O8 was computed for a wavelength of 1.5418 Å.
Peak positions follow from Bragg's law for the DFT cell and can differ from measured ones.

Principal peaks in the range 5 to 70 degrees two-theta, by intensity:
22.9°, I 1000; 14.4°, I 784; 25.1°, I 711; 38.0°, I 640; 24.8°, I 617; 38.4°, I 565; 33.5°, I 561; 35.6°, I 546; 35.4°, I 388; 38.2°, I 290

Cell and atoms:
```
38
Lattice="5.733 0.000 0.000 2.302 7.384 0.000 2.494 2.722 7.082" Properties=species:S:1:pos:R:3 pbc="T T T"
Ca 2.302 2.592 2.242
Ca 8.227 7.513 4.840
B 5.032 9.187 5.184
B 5.236 5.355 5.570
B 5.292 4.751 1.512
B 5.497 0.918 1.898
H 4.298 8.103 6.787
H 3.298 6.674 2.061
H 3.387 4.582 4.972
H 4.153 4.604 3.186
H 5.769 6.849 6.862
H 5.384 7.470 4.070
H 4.580 2.589 5.671
H 4.499 6.263 0.391
H 6.029 3.842 6.691
H 5.949 7.517 1.411
H 5.144 2.636 3.012
H 4.759 3.256 0.219
H 6.375 5.501 3.896
H 7.142 5.524 2.110
H 7.231 3.431 5.021
H 6.231 2.002 0.295
O 0.798 1.301 0.904
O 2.401 3.169 4.695
O 3.932 5.407 4.852
O 4.847 8.298 3.983
O 5.171 6.080 6.879
O 6.416 9.085 5.695
O 4.278 4.050 2.372
O 4.883 6.156 1.300
O 5.646 3.950 5.782
O 6.251 6.055 4.710
O 4.112 1.020 1.387
O 5.358 4.026 0.203
O 5.682 1.807 3.099
O 6.597 4.699 2.230
O 8.127 6.937 2.387
O 9.731 8.805 6.178
```

Starting from a GGA-PBE-relaxed structure, the powder XRD pattern of Sr7SeN6 was computed for a wavelength of 1.5418 Å.
Peak positions follow from Bragg's law for the DFT cell and can differ from measured ones.

Principal peaks in the range 5 to 70 degrees two-theta, by intensity:
30.0°, I 1000; 31.7°, I 646; 27.8°, I 372; 30.3°, I 269; 32.5°, I 238; 33.6°, I 232; 29.2°, I 231; 39.3°, I 229; 49.4°, I 199; 42.6°, I 173

Cell and atoms:
```
56
Lattice="12.715 0.000 0.000 0.000 6.856 0.000 0.000 0.000 13.507" Properties=species:S:1:pos:R:3 pbc="T T T"
Sr 0.000 0.451 3.377
Sr 0.000 6.404 10.130
Sr 0.760 1.442 6.765
Sr 0.760 5.414 0.011
Sr 2.484 2.365 11.968
Sr 2.484 4.491 5.214
Sr 2.781 2.631 2.077
Sr 2.781 4.224 8.831
Sr 3.576 0.797 8.831
Sr 3.576 6.059 2.077
Sr 3.873 1.063 5.214
Sr 3.873 5.793 11.968
Sr 5.598 1.986 0.011
Sr 5.598 4.870 6.765
Sr 6.357 2.976 10.130
Sr 6.357 3.879 3.377
Sr 7.117 1.986 6.742
Sr 7.117 4.870 13.496
Sr 8.841 1.063 1.539
Sr 8.841 5.793 8.293
Sr 9.138 0.797 11.430
Sr 9.138 6.059 4.676
Sr 9.934 2.631 4.676
Sr 9.934 4.224 11.430
Sr 10.231 2.365 8.293
Sr 10.231 4.491 1.539
Sr 11.955 1.442 13.496
Sr 11.955 5.414 6.742
Se 0.000 3.002 10.130
Se 0.000 3.853 3.377
Se 6.357 0.426 3.377
Se 6.357 6.430 10.130
N 1.286 1.937 9.416
N 1.286 4.918 2.662
N 1.721 0.928 0.483
N 1.721 5.928 7.236
N 1.773 2.032 4.468
N 1.773 4.823 11.222
N 4.585 1.395 11.222
N 4.585 5.460 4.468
N 4.637 2.500 7.236
N 4.637 4.356 0.483
N 5.071 1.490 2.662
N 5.071 5.365 9.416
N 7.644 1.490 4.091
N 7.644 5.365 10.845
N 8.078 2.500 13.025
N 8.078 4.356 6.271
N 8.130 1.395 9.039
N 8.130 5.460 2.285
N 10.942 2.032 2.285
N 10.942 4.823 9.039
N 10.994 0.928 6.271
N 10.994 5.928 13.025
N 11.428 1.937 10.845
N 11.428 4.918 4.091
```

Starting from a GGA-PBE-relaxed structure, the powder XRD pattern of Mg2MnV3S8 was computed for a wavelength of 1.5418 Å.
Peak positions follow from Bragg's law for the DFT cell and can differ from measured ones.

Principal peaks in the range 5 to 70 degrees two-theta, by intensity:
35.0°, I 1000; 15.0°, I 540; 50.1°, I 488; 50.5°, I 475; 28.9°, I 466; 46.0°, I 226; 28.7°, I 178; 14.8°, I 151; 62.9°, I 135; 46.1°, I 125

Cell and atoms:
```
14
Lattice="6.257 -3.615 0.000 6.257 3.615 0.000 -4.169 0.000 5.971" Properties=species:S:1:pos:R:3 pbc="T T T"
Mg 0.001 0.000 2.250
Mg 8.344 0.000 3.721
Mn 4.172 0.000 2.986
V 3.128 1.808 0.000
V 3.128 -1.808 0.000
V 6.257 0.000 0.000
S 2.286 0.000 1.416
S 0.004 0.000 4.689
S 5.113 1.634 1.415
S 3.231 1.634 4.556
S 5.113 -1.634 1.415
S 3.231 -1.634 4.556
S 8.341 0.000 1.282
S 6.058 0.000 4.555
```

Starting from a GGA-PBE-relaxed structure, the powder XRD pattern of SiPb4Cl4O4 was computed for a wavelength of 1.5418 Å.
Peak positions follow from Bragg's law for the DFT cell and can differ from measured ones.

Principal peaks in the range 5 to 70 degrees two-theta, by intensity:
23.9°, I 1000; 22.9°, I 792; 20.7°, I 790; 22.4°, I 785; 23.7°, I 591; 28.5°, I 583; 33.6°, I 498; 32.8°, I 460; 32.3°, I 406; 46.0°, I 374

Cell and atoms:
```
52
Lattice="8.911 0.000 0.000 0.000 15.899 0.000 -0.310 0.000 8.433" Properties=species:S:1:pos:R:3 pbc="T T T"
Si 1.145 2.360 1.251
Si 0.990 5.589 5.468
Si 7.611 10.310 2.965
Si 7.456 13.538 7.182
Pb 0.619 11.162 0.035
Pb 0.464 12.686 4.251
Pb 1.272 8.430 2.919
Pb 1.117 15.418 7.135
Pb 2.976 0.133 2.492
Pb 2.821 7.817 6.709
Pb 3.209 3.874 7.838
Pb 3.364 4.075 3.622
Pb 5.237 11.823 4.811
Pb 5.392 12.025 0.595
Pb 5.780 8.082 1.724
Pb 5.625 15.766 5.941
Pb 7.484 0.481 1.298
Pb 7.330 7.469 5.514
Pb 8.137 3.213 4.182
Pb 7.982 4.737 8.398
Cl -0.155 0.000 4.216
Cl 0.000 7.949 0.000
Cl 1.833 10.393 5.225
Cl 1.987 13.456 1.008
Cl 2.812 1.974 5.642
Cl 2.967 5.975 1.426
Cl 3.275 9.680 0.984
Cl 3.120 14.168 5.200
Cl 4.455 0.000 0.000
Cl 4.301 7.949 4.216
Cl 5.481 1.731 3.233
Cl 5.326 6.219 7.449
Cl 5.634 9.924 7.007
Cl 5.789 13.925 2.791
Cl 6.614 2.443 7.425
Cl 6.769 5.506 3.208
O 0.148 10.671 2.269
O -0.006 13.177 6.485
O 1.080 0.742 0.880
O 0.925 7.207 5.096
O 1.003 3.347 8.378
O 1.157 4.602 4.161
O 2.477 2.479 2.221
O 2.323 5.471 6.437
O 6.279 10.428 1.996
O 6.124 13.420 6.212
O 7.444 11.297 4.272
O 7.599 12.552 0.055
O 7.676 8.691 3.337
O 7.521 15.157 7.553
O 8.608 2.722 1.948
O 8.453 5.227 6.164
```

Starting from a GGA-PBE-relaxed structure, the powder XRD pattern of SrSi was computed for a wavelength of 1.5418 Å.
Peak positions follow from Bragg's law for the DFT cell and can differ from measured ones.

Principal peaks in the range 5 to 70 degrees two-theta, by intensity:
28.2°, I 1000; 30.8°, I 838; 29.8°, I 814; 33.5°, I 686; 38.1°, I 539; 33.2°, I 529; 55.2°, I 312; 57.0°, I 290; 44.7°, I 286; 54.3°, I 272

Cell and atoms:
```
8
Lattice="8.907 0.000 0.000 0.000 4.059 0.000 0.000 0.000 6.139" Properties=species:S:1:pos:R:3 pbc="T T T"
Sr 1.608 1.015 0.663
Sr 2.845 3.044 3.732
Sr 6.061 1.015 2.406
Sr 7.299 3.044 5.476
Si 0.284 1.015 3.727
Si 4.169 3.044 0.657
Si 4.738 1.015 5.481
Si 8.622 3.044 2.412
```

Starting from a GGA-PBE-relaxed structure, the powder XRD pattern of Cs2LiTlBr6 was computed for a wavelength of 1.5418 Å.
Peak positions follow from Bragg's law for the DFT cell and can differ from measured ones.

Principal peaks in the range 5 to 70 degrees two-theta, by intensity:
31.9°, I 1000; 45.8°, I 724; 27.6°, I 653; 22.4°, I 470; 13.7°, I 395; 54.3°, I 276; 26.4°, I 266; 56.9°, I 252; 39.4°, I 222; 34.9°, I 131

Cell and atoms:
```
10
Lattice="0.000 5.605 5.605 5.605 0.000 5.605 5.605 5.605 0.000" Properties=species:S:1:pos:R:3 pbc="T T T"
Cs 2.802 2.802 2.802
Cs 8.407 8.407 8.407
Li 0.000 0.000 0.000
Tl 5.605 5.605 5.605
Br 5.605 5.605 2.800
Br 5.605 2.800 5.605
Br 8.410 5.605 5.605
Br 2.800 5.605 5.605
Br 5.605 8.410 5.605
Br 5.605 5.605 8.410
```